Theoretical X-ray diffraction stick pattern of Tl2WO4 for Cu Kα (weighted mean of Kα1 and Kα2), from the PBE+U geometry in Alexandria.
Peak positions follow from Bragg's law for the DFT cell and can differ from measured ones.

Cell and atoms:
```
Tl2WO4
1.0
6.437 0.000 0.000
-3.219 5.575 0.000
0.000 0.000 8.460
Tl W O
4 2 8
direct
0.000 0.000 0.000 Tl
0.000 0.000 0.500 Tl
0.333 0.667 0.314 Tl
0.667 0.333 0.686 Tl
0.333 0.667 0.813 W
0.667 0.333 0.187 W
0.180 0.360 0.739 O
0.180 0.820 0.739 O
0.333 0.667 0.028 O
0.360 0.180 0.261 O
0.640 0.820 0.739 O
0.667 0.333 0.972 O
0.820 0.180 0.261 O
0.820 0.640 0.261 O
```

Principal peaks in the range 5° ≤ 2θ ≤ 70°, in order of rising 2θ:
| 2θ/deg | intensity | (hkl) |
| --- | --- | --- |
| 26.45 | 100 | 1 0 2 |
| 27.72 | 97 | 1 1 0 |
| 38.69 | 43 | 0 2 2 |
| 45.89 | 23 | 0 1 4 |
| 48.25 | 39 | 2 1 2 |
| 49.02 | 21 | 3 0 0 |
| 51.72 | 4 | 1 1 4 |
| 54.46 | 14 | 2 0 4 |
| 57.24 | 16 | 2 2 0 |
| 62.19 | 19 | 1 2 4 |
| 64.13 | 18 | 1 3 2 |
| 68.66 | 2 | 1 0 6 |